(1)
Starting from a cell relaxed with PBE, the powder diffraction line list of RbMn3Cl8 was calculated for Cu Kα.
Neutral-atom scattering factors, no anomalous dispersion.

Most intense lines, 10 to 90 degrees two-theta, in order of rising 2θ:
d 6.227, 14.22°, rel. 100; d 3.462, 25.73°, rel. 18; d 3.381, 26.36°, rel. 20; d 2.867, 31.20°, rel. 38; d 2.744, 32.63°, rel. 59; d 2.175, 41.51°, rel. 10; d 2.086, 43.37°, rel. 16; d 2.008, 45.16°, rel. 20; d 1.958, 46.38°, rel. 19; d 1.887, 48.23°, rel. 10

Atomic structure:
a b c (Å): 7.849 7.849 7.590
angles (deg): 117.26 117.26 60.86
Positions (direct):
Rb  0.000  0.000  0.000
Mn  0.000  0.500  0.500
Mn  0.500  0.000  0.500
Mn  0.500  0.500  0.000
Cl  0.245  0.245  0.724
Cl  0.263  0.263  0.310
Cl  0.286  0.674  0.756
Cl  0.326  0.714  0.244
Cl  0.674  0.286  0.756
Cl  0.714  0.326  0.244
Cl  0.737  0.737  0.690
Cl  0.755  0.755  0.276

***

(2)
Starting from a cell relaxed with PBE, the powder diffraction line list of CsBa5Ir was calculated for Cu Kα.
Neutral-atom scattering factors, no anomalous dispersion.

Most intense lines, 10 to 90 degrees two-theta, in order of rising 2θ:
d 8.731, 10.13°, rel. 100; d 6.377, 13.89°, rel. 58; d 6.247, 14.18°, rel. 53; d 5.989, 14.79°, rel. 81; d 3.578, 24.88°, rel. 70; d 3.341, 26.68°, rel. 55; d 3.303, 27.00°, rel. 54; d 2.994, 29.84°, rel. 73; d 2.840, 31.50°, rel. 56; d 2.805, 31.90°, rel. 57

Atomic structure:
a b c (Å): 10.743 10.743 11.978
angles (deg): 123.80 123.80 72.82
Positions (direct):
Cs  0.173  0.827  0.750
Cs  0.827  0.173  0.250
Ba  0.001  0.499  0.247
Ba  0.178  0.822  0.250
Ba  0.298  0.348  0.072
Ba  0.348  0.298  0.572
Ba  0.499  0.001  0.747
Ba  0.501  0.999  0.253
Ba  0.652  0.702  0.428
Ba  0.702  0.652  0.928
Ba  0.822  0.178  0.750
Ba  0.999  0.501  0.753
Ir  0.000  0.500  0.000
Ir  0.500  0.000  0.500

***

(3)
Starting from a cell relaxed with PBE, the powder diffraction line list of Nb2I4F was calculated for Cu Kα.
Neutral-atom scattering factors, no anomalous dispersion.

Most intense lines, 10 to 90 degrees two-theta, in order of rising 2θ:
d 6.828, 12.97°, rel. 94; d 5.070, 17.49°, rel. 100; d 3.174, 28.11°, rel. 84; d 2.946, 30.34°, rel. 47; d 2.712, 33.03°, rel. 45; d 2.677, 33.47°, rel. 58; d 2.601, 34.48°, rel. 39; d 2.342, 38.43°, rel. 34; d 2.035, 44.52°, rel. 32; d 1.950, 46.58°, rel. 32

Atomic structure:
a b c (Å): 10.945 7.660 10.187
angles (deg): 74.14 42.31 63.55
Positions (direct):
Nb  0.012  0.988  0.859
Nb  0.109  0.391  0.262
Nb  0.391  0.109  0.238
Nb  0.988  0.012  0.141
I  0.023  0.317  0.617
I  0.207  0.633  0.933
I  0.317  0.023  0.043
I  0.354  0.787  0.466
I  0.633  0.207  0.227
I  0.784  0.857  0.896
I  0.787  0.354  0.393
I  0.857  0.784  0.463
F  0.137  0.137  0.863
F  0.387  0.387  0.113

***

(4)
Starting from a cell relaxed with PBE, the powder diffraction line list of Tl2Te4N3 was calculated for Cu Kα.
Neutral-atom scattering factors, no anomalous dispersion.

Most intense lines, 10 to 90 degrees two-theta, in order of rising 2θ:
d 8.075, 10.96°, rel. 30; d 3.716, 23.95°, rel. 13; d 3.604, 24.70°, rel. 32; d 2.887, 30.98°, rel. 27; d 2.851, 31.37°, rel. 100; d 2.810, 31.84°, rel. 20; d 2.105, 42.98°, rel. 11; d 2.014, 45.02°, rel. 17; d 1.660, 55.35°, rel. 20; d 1.630, 56.44°, rel. 11

Atomic structure:
a b c (Å): 9.838 9.838 5.774
angles (deg): 90.00 90.00 110.32
Positions (direct):
Tl  0.044  0.201  0.000
Tl  0.201  0.044  0.500
Tl  0.799  0.956  0.500
Tl  0.956  0.799  0.000
Te  0.025  0.647  0.500
Te  0.326  0.447  0.500
Te  0.353  0.975  0.000
Te  0.447  0.326  0.000
Te  0.553  0.674  0.000
Te  0.647  0.025  0.000
Te  0.674  0.553  0.500
Te  0.975  0.353  0.500
N  0.000  0.000  0.250
N  0.000  0.000  0.750
N  0.298  0.298  0.250
N  0.298  0.298  0.750
N  0.702  0.702  0.250
N  0.702  0.702  0.750

***

(5)
Starting from a cell relaxed with PBE, the powder diffraction line list of Ti2Pd3 was calculated for Cu Kα.
Neutral-atom scattering factors, no anomalous dispersion.

Most intense lines, 10 to 90 degrees two-theta, in order of rising 2θ:
d 4.401, 20.18°, rel. 13; d 3.315, 26.90°, rel. 14; d 2.289, 39.36°, rel. 100; d 2.282, 39.49°, rel. 96; d 2.072, 43.70°, rel. 36; d 1.949, 46.60°, rel. 28; d 1.927, 47.17°, rel. 29; d 1.411, 66.25°, rel. 20; d 1.370, 68.47°, rel. 17; d 1.170, 82.41°, rel. 21

Atomic structure:
a b c (Å): 8.812 3.853 6.213
angles (deg): 90.00 132.47 90.00
Positions (direct):
Ti  0.078  0.000  0.291
Ti  0.422  0.500  0.709
Ti  0.578  0.500  0.291
Ti  0.922  0.000  0.709
Pd  0.000  0.500  0.500
Pd  0.198  0.500  0.111
Pd  0.302  0.000  0.889
Pd  0.500  0.000  0.500
Pd  0.698  0.000  0.111
Pd  0.802  0.500  0.889

***

(6)
Starting from a cell relaxed with PBE, the powder diffraction line list of Na5HgP2 was calculated for Cu Kα.
Neutral-atom scattering factors, no anomalous dispersion.

Most intense lines, 10 to 90 degrees two-theta, in order of rising 2θ:
d 4.392, 20.22°, rel. 26; d 4.265, 20.83°, rel. 100; d 3.534, 25.20°, rel. 40; d 3.131, 28.51°, rel. 29; d 2.536, 35.40°, rel. 65; d 2.464, 36.47°, rel. 20; d 2.439, 36.85°, rel. 26; d 2.205, 40.92°, rel. 44; d 1.930, 47.09°, rel. 25; d 1.675, 54.80°, rel. 18

Atomic structure:
a b c (Å): 5.071 5.071 17.855
angles (deg): 90.00 90.00 120.00
Positions (direct):
Na  0.000  0.000  0.136
Na  0.000  0.000  0.364
Na  0.000  0.000  0.636
Na  0.000  0.000  0.864
Na  0.333  0.667  0.052
Na  0.333  0.667  0.250
Na  0.333  0.667  0.448
Na  0.667  0.333  0.552
Na  0.667  0.333  0.750
Na  0.667  0.333  0.948
Hg  0.333  0.667  0.750
Hg  0.667  0.333  0.250
P  0.333  0.667  0.611
P  0.333  0.667  0.889
P  0.667  0.333  0.111
P  0.667  0.333  0.389